(1)
Diffraction record for NdHoCN2O2. The powder diffractogram is simulated, not measured: it uses a cell relaxed with GGA-PBE and CuKα.
Lines closer than 0.1° are merged.

Crystal structure
```
data_NdHoCN2O2
_space_group_name_H-M_alt 'P 1'
_space_group_IT_number 1
_cell_length_a 3.784
_cell_length_b 3.784
_cell_length_c 8.218
_cell_angle_alpha 90.00
_cell_angle_beta 90.00
_cell_angle_gamma 120.00
loop_
_space_group_symop_operation_xyz
'x,y,z'
loop_
_atom_site_label
_atom_site_type_symbol
_atom_site_fract_x
_atom_site_fract_y
_atom_site_fract_z
Nd1 Nd 0.000 0.000 0.000
Ho1 Ho 0.667 0.333 0.642
C1 C 0.333 0.667 0.324
N1 N 0.333 0.667 0.174
N2 N 0.333 0.667 0.475
O1 O 0.000 0.000 0.709
O2 O 0.667 0.333 0.914
```

Most intense lines, 2θ = 15–90°, low angle first:
two_theta, Rel. int.
29.3, 100
35.0, 42
43.0, 21
48.1, 29
52.6, 24
59.4, 20

(2)
Diffraction record for HoTmNi2C2N2. The powder diffractogram is simulated, not measured: it uses a cell relaxed with GGA-PBE and CuKα.
Lines closer than 0.1° are merged.

Crystal structure
```
data_HoTmNi2C2N2
_space_group_name_H-M_alt 'P 1'
_space_group_IT_number 1
_cell_length_a 3.426
_cell_length_b 3.426
_cell_length_c 7.289
_cell_angle_alpha 90.00
_cell_angle_beta 90.00
_cell_angle_gamma 90.00
loop_
_space_group_symop_operation_xyz
'x,y,z'
loop_
_atom_site_label
_atom_site_type_symbol
_atom_site_fract_x
_atom_site_fract_y
_atom_site_fract_z
Ho1 Ho 0.000 0.000 0.000
Tm1 Tm 0.500 0.500 0.344
Ni1 Ni 0.000 0.500 0.672
Ni2 Ni 0.500 0.000 0.672
C1 C 0.000 0.000 0.511
C2 C 0.500 0.500 0.835
N1 N 0.000 0.000 0.318
N2 N 0.500 0.500 0.029
```

Most intense lines, 2θ = 15–90°, low angle first:
two_theta, Rel. int.
28.8, 100
36.0, 64
37.0, 45
39.2, 60
44.9, 52
53.5, 48

(3)
Diffraction record for YHo2Ni2C2N3. The powder diffractogram is simulated, not measured: it uses a cell relaxed with GGA-PBE and CuKα.
Lines closer than 0.1° are merged.

Crystal structure
```
data_YHo2Ni2C2N3
_space_group_name_H-M_alt 'P 1'
_space_group_IT_number 1
_cell_length_a 10.063
_cell_length_b 10.063
_cell_length_c 10.063
_cell_angle_alpha 160.27
_cell_angle_beta 160.27
_cell_angle_gamma 28.05
loop_
_space_group_symop_operation_xyz
'x,y,z'
loop_
_atom_site_label
_atom_site_type_symbol
_atom_site_fract_x
_atom_site_fract_y
_atom_site_fract_z
Y1 Y 0.000 0.000 0.000
Ho1 Ho 0.374 0.374 0.000
Ho2 Ho 0.626 0.626 0.000
Ni1 Ni 0.250 0.750 0.500
Ni2 Ni 0.750 0.250 0.500
C1 C 0.191 0.191 0.000
C2 C 0.809 0.809 0.000
N1 N 0.119 0.119 0.000
N2 N 0.500 0.500 0.000
N3 N 0.881 0.881 0.000
```

Most intense lines, 2θ = 15–90°, low angle first:
two_theta, Rel. int.
29.3, 96
34.7, 76
36.8, 100
41.4, 73
53.1, 67
66.4, 39

> Number 3 is which compound?

YHo2Ni2C2N3